[1]
This entry pairs a crystal structure of Ac5Pr5Tm2 with its computed X-ray diffraction stick pattern. Radiation: Cu Kα X-rays. Structure: a DFT-relaxed cell (GGA-PBE, Alexandria).
Peak positions follow from Bragg's law for the DFT cell and can differ from measured ones.

Peak list (10 most intense, 2θ from 10° to 90°, sorted by position)
- hkl 3 1 1, 28.82 deg, intensity 100
- hkl 6 0 -2, 33.03 deg, intensity 18
- hkl 0 0 4, 33.31 deg, intensity 17
- hkl 0 2 0, 33.86 deg, intensity 16
- hkl 6 2 -2, 48.03 deg, intensity 12
- hkl 0 2 4, 48.23 deg, intensity 12
- hkl 9 1 -5, 56.38 deg, intensity 8
- hkl 9 1 -1, 56.50 deg, intensity 8
- hkl 3 1 -7, 56.75 deg, intensity 8
- hkl 3 1 5, 56.87 deg, intensity 8

Structural model:
```
data_Ac5Pr5Tm2
_chemical_formula_sum 'Ac10 Pr10 Tm4'
_space_group_name_H-M_alt 'C 1 2/m 1'
_space_group_IT_number 12
_cell_length_a 16.270
_cell_length_b 5.295
_cell_length_c 12.064
_cell_angle_alpha 90.00
_cell_angle_beta 116.91
_cell_angle_gamma 90.00
loop_
_space_group_symop_operation_xyz
'x,y,z'
'-x,-y,-z'
'-x,y,-z'
'x,-y,z'
'x+1/2,y+1/2,z'
'-x+1/2,-y+1/2,-z'
'-x+1/2,y+1/2,-z'
'x+1/2,-y+1/2,z'
loop_
_atom_site_label
_atom_site_type_symbol
_atom_site_fract_x
_atom_site_fract_y
_atom_site_fract_z
Ac1 Ac 0.000 0.000 0.000
Ac2 Ac 0.083 0.000 0.753
Ac3 Ac 0.166 0.000 0.501
Pr1 Pr 0.000 0.500 0.500
Pr2 Pr 0.167 0.500 0.002
Pr3 Pr 0.245 0.000 0.244
Tm1 Tm 0.084 0.500 0.248
```


[2]
This entry pairs a crystal structure of SrCa3Br2N2 with its computed X-ray diffraction stick pattern. Radiation: Cu Kα X-rays. Structure: a DFT-relaxed cell (GGA-PBE, Alexandria).
Peak positions follow from Bragg's law for the DFT cell and can differ from measured ones.

Peak list (10 most intense, 2θ from 10° to 90°, sorted by position)
- hkl 2 0 -1, 27.57 deg, intensity 33
- hkl 1 1 1, 32.12 deg, intensity 100
- hkl 1 1 -2, 34.58 deg, intensity 49
- hkl 0 0 3, 38.11 deg, intensity 18
- hkl 1 1 -3, 43.89 deg, intensity 21
- hkl 0 2 0, 48.14 deg, intensity 36
- hkl 2 2 -2, 59.05 deg, intensity 16
- hkl 0 2 3, 62.99 deg, intensity 24
- hkl 2 0 -5, 63.62 deg, intensity 11
- hkl 1 3 1, 79.54 deg, intensity 13

Structural model:
```
data_SrCa3Br2N2
_chemical_formula_sum 'Sr1 Ca3 Br2 N2'
_space_group_name_H-M_alt 'P 1 m 1'
_space_group_IT_number 6
_cell_length_a 6.549
_cell_length_b 3.779
_cell_length_c 7.415
_cell_angle_alpha 90.00
_cell_angle_beta 107.19
_cell_angle_gamma 90.00
loop_
_space_group_symop_operation_xyz
'x,y,z'
'x,-y,z'
loop_
_atom_site_label
_atom_site_type_symbol
_atom_site_fract_x
_atom_site_fract_y
_atom_site_fract_z
Sr1 Sr 0.000 0.000 0.000
Ca1 Ca 0.455 0.000 0.365
Ca2 Ca 0.506 0.500 0.022
Ca3 Ca 0.954 0.500 0.365
Br1 Br 0.234 0.000 0.683
Br2 Br 0.719 0.500 0.675
N1 N 0.237 0.500 0.194
N2 N 0.725 0.000 0.192
```


[3]
This entry pairs a crystal structure of CeEuZn4 with its computed X-ray diffraction stick pattern. Radiation: Cu Kα X-rays. Structure: a DFT-relaxed cell (GGA-PBE, Alexandria).
Peak positions follow from Bragg's law for the DFT cell and can differ from measured ones.

Peak list (10 most intense, 2θ from 10° to 90°, sorted by position)
- hkl 1 1 1, 19.59 deg, intensity 6
- hkl 2 2 0, 32.25 deg, intensity 54
- hkl 3 1 1, 38.01 deg, intensity 100
- hkl 2 2 2, 39.77 deg, intensity 20
- hkl 4 2 2, 57.51 deg, intensity 21
- hkl 5 1 1, 61.36 deg, intensity 32
- hkl 4 4 0, 67.49 deg, intensity 24
- hkl 6 2 0, 76.79 deg, intensity 9
- hkl 5 3 3, 80.17 deg, intensity 11
- hkl 6 2 2, 81.29 deg, intensity 7

Structural model:
```
data_CeEuZn4
_chemical_formula_sum 'Ce4 Eu4 Zn16'
_space_group_name_H-M_alt 'F -4 3 m'
_space_group_IT_number 216
_space_group_name_Hall 'F -4 2 3'
_cell_length_a 7.851
_cell_length_b 7.851
_cell_length_c 7.851
_cell_angle_alpha 90.00
_cell_angle_beta 90.00
_cell_angle_gamma 90.00
loop_
_atom_site_label
_atom_site_type_symbol
_atom_site_fract_x
_atom_site_fract_y
_atom_site_fract_z
Ce1 Ce 0.000 0.000 0.000
Eu1 Eu 0.250 0.250 0.250
Zn1 Zn 0.125 0.125 0.625
```


[4]
This entry pairs a crystal structure of Er3Mg with its computed X-ray diffraction stick pattern. Radiation: Cu Kα X-rays. Structure: a DFT-relaxed cell (GGA-PBE, Alexandria).
Peak positions follow from Bragg's law for the DFT cell and can differ from measured ones.

Peak list (10 most intense, 2θ from 10° to 90°, sorted by position)
- hkl 1 1 0, 24.83 deg, intensity 13
- hkl 0 3 1, 28.96 deg, intensity 19
- hkl 0 4 0, 31.76 deg, intensity 24
- hkl 1 2 1, 33.00 deg, intensity 100
- hkl 0 0 2, 33.21 deg, intensity 26
- hkl 0 4 2, 46.61 deg, intensity 17
- hkl 1 6 1, 57.37 deg, intensity 14
- hkl 1 2 3, 59.20 deg, intensity 19
- hkl 2 4 2, 69.23 deg, intensity 10
- hkl 3 2 1, 79.98 deg, intensity 10

Structural model:
```
data_Er3Mg
_chemical_formula_sum 'Er6 Mg2'
_space_group_name_H-M_alt 'I m m 2'
_space_group_IT_number 44
_cell_length_a 3.782
_cell_length_b 11.270
_cell_length_c 5.396
_cell_angle_alpha 90.00
_cell_angle_beta 90.00
_cell_angle_gamma 90.00
loop_
_space_group_symop_operation_xyz
'x,y,z'
'-x,-y,z'
'-x,y,z'
'x,-y,z'
'x+1/2,y+1/2,z+1/2'
'-x+1/2,-y+1/2,z+1/2'
'-x+1/2,y+1/2,z+1/2'
'x+1/2,-y+1/2,z+1/2'
loop_
_atom_site_label
_atom_site_type_symbol
_atom_site_fract_x
_atom_site_fract_y
_atom_site_fract_z
Er1 Er 0.000 0.000 0.000
Er2 Er 0.000 0.229 0.502
Mg1 Mg 0.000 0.500 0.000
```


[5]
This entry pairs a crystal structure of Na3Be2F8 with its computed X-ray diffraction stick pattern. Radiation: Cu Kα X-rays. Structure: a DFT-relaxed cell (GGA-PBE, Alexandria).
Peak positions follow from Bragg's law for the DFT cell and can differ from measured ones.

Peak list (10 most intense, 2θ from 10° to 90°, sorted by position)
- hkl 1 1 0, 33.36 deg, intensity 59
- hkl 2 0 2, 40.00 deg, intensity 100
- hkl 0 2 4, 43.70 deg, intensity 55
- hkl 0 1 8, 44.31 deg, intensity 25
- hkl 0 0 9, 44.80 deg, intensity 20
- hkl 1 1 6, 45.08 deg, intensity 62
- hkl 2 0 5, 46.31 deg, intensity 33
- hkl 1 0 10, 54.09 deg, intensity 22
- hkl 2 2 0, 70.06 deg, intensity 34
- hkl 2 1 10, 75.11 deg, intensity 18

Structural model:
```
data_Na3Be2F8
_chemical_formula_sum 'Na9 Be6 F24'
_space_group_name_H-M_alt 'R -3 m'
_space_group_IT_number 166
_space_group_name_Hall '-R 3 2"'
_cell_length_a 5.3723
_cell_length_b 5.3723
_cell_length_c 18.2056
_cell_angle_alpha 90.00
_cell_angle_beta 90.00
_cell_angle_gamma 120.00
loop_
_atom_site_label
_atom_site_type_symbol
_atom_site_fract_x
_atom_site_fract_y
_atom_site_fract_z
Na1 Na 0.0000 0.0000 0.0000
Na2 Na 0.0000 0.0000 0.1964
Be1 Be 0.0000 0.0000 0.4048
F1 F 0.0000 0.0000 0.3193
F2 F 0.0156 0.5078 0.2347
```


[6]
This entry pairs a crystal structure of BaSb3Rh3 with its computed X-ray diffraction stick pattern. Radiation: Cu Kα X-rays. Structure: a DFT-relaxed cell (GGA-PBE, Alexandria).
Peak positions follow from Bragg's law for the DFT cell and can differ from measured ones.

Peak list (10 most intense, 2θ from 10° to 90°, sorted by position)
- hkl 1 1 0, 17.30 deg, intensity 14
- hkl 2 0 0, 24.56 deg, intensity 42
- hkl 2 1 1, 30.20 deg, intensity 100
- hkl 2 2 2, 43.24 deg, intensity 29
- hkl 3 2 1, 46.90 deg, intensity 58
- hkl 4 0 0, 50.36 deg, intensity 30
- hkl 4 2 0, 56.81 deg, intensity 16
- hkl 5 2 1, 71.26 deg, intensity 17
- hkl 4 4 0, 73.98 deg, intensity 19
- hkl 6 1 1, 81.94 deg, intensity 17

Structural model:
```
data_BaSb3Rh3
_chemical_formula_sum 'Ba2 Sb6 Rh6'
_space_group_name_H-M_alt 'P m -3 n'
_space_group_IT_number 223
_space_group_name_Hall '-P 4n 2 3'
_cell_length_a 7.248
_cell_length_b 7.248
_cell_length_c 7.248
_cell_angle_alpha 90.00
_cell_angle_beta 90.00
_cell_angle_gamma 90.00
loop_
_atom_site_label
_atom_site_type_symbol
_atom_site_fract_x
_atom_site_fract_y
_atom_site_fract_z
Ba1 Ba 0.000 0.000 0.000
Sb1 Sb 0.000 0.250 0.500
Rh1 Rh 0.000 0.500 0.250
```